# 1
Structure and theoretical powder diffractogram of LiAlSi2O6 (a DFT-relaxed cell (GGA-PBE, the Materials Project); a wavelength of 1.5418 Å).

Unit cell a=9.1836 b=8.5368 c=5.1922 alpha=90.00 beta=102.63 gamma=90.00
Space group P2_1/c (No. 14)
Inequivalent atoms, fractional coordinates:
1 Li 0.2451 0.0149 0.4724 (multiplicity 4)
2 Al 0.2497 0.6523 0.4725 (multiplicity 4)
3 Si 0.0497 0.1591 0.8190 (multiplicity 4)
4 Si 0.4540 0.1574 0.2291 (multiplicity 4)
5 O 0.1080 0.2106 0.1300 (multiplicity 4)
6 O 0.1244 0.5059 0.2721 (multiplicity 4)
7 O 0.1358 0.6711 0.7469 (multiplicity 4)
8 O 0.3609 0.6703 0.1981 (multiplicity 4)
9 O 0.3814 0.5130 0.6696 (multiplicity 4)
10 O 0.3928 0.2174 0.4884 (multiplicity 4)

Top 10 peaks for 5° ≤ 2θ ≤ 70°, sorted by position:
(hkl)	2θ/deg	I/Imax
0 1 1	20.38	33.2
0 2 0	20.81	41.8
2 1 -1	25.70	27.2
1 2 -1	27.74	31.8
1 2 1	30.44	100.0
3 1 0	31.74	73.6
2 0 -2	36.74	35.8
3 2 -1	37.85	21.4
4 3 1	58.38	25.7
6 3 -1	69.96	24.9

# 2
Structure and theoretical powder diffractogram of PRu (a DFT-relaxed cell (GGA-PBE, the Materials Project); a wavelength of 1.5418 Å).

Unit cell a=5.5574 b=3.1792 c=6.1956 alpha=90.00 beta=90.00 gamma=90.00
Space group Pnma (No. 62)
Inequivalent atoms, fractional coordinates:
1 P 0.1901 0.2500 0.0647 (multiplicity 4)
2 Ru 0.0095 0.7500 0.2930 (multiplicity 4)

Top 10 peaks for 5° ≤ 2θ ≤ 70°, sorted by position:
(hkl)	2θ/deg	I/Imax
0 0 2	28.82	35.4
0 1 1	31.63	93.9
2 0 0	32.21	37.5
2 0 2	43.76	52.4
1 1 2	43.94	36.4
2 1 1	45.77	100.0
1 0 3	46.94	24.8
0 1 3	52.86	30.7
0 2 0	58.02	19.3
1 1 4	69.61	15.4

# 3
Structure and theoretical powder diffractogram of Nd6AlFe13 (a DFT-relaxed cell (GGA-PBE, the Materials Project); a wavelength of 1.5418 Å).

Unit cell a=8.0173 b=8.0173 c=23.1172 alpha=90.00 beta=90.00 gamma=90.00
Space group I4/mcm (No. 140)
Inequivalent atoms, fractional coordinates:
1 Nd 0.0000 0.0000 0.1067 (multiplicity 8)
2 Nd 0.1640 0.3360 0.1869 (multiplicity 16)
3 Al 0.0000 0.0000 0.2500 (multiplicity 4)
4 Fe 0.0000 0.5000 0.0000 (multiplicity 4)
5 Fe 0.0677 0.2095 0.5000 (multiplicity 16)
6 Fe 0.1139 0.3861 0.4052 (multiplicity 16)
7 Fe 0.1777 0.3223 0.0594 (multiplicity 16)

Top 10 peaks for 5° ≤ 2θ ≤ 70°, sorted by position:
(hkl)	2θ/deg	I/Imax
0 0 2	7.65	59.0
2 1 3	27.44	75.5
2 2 0	31.57	100.0
3 1 0	35.41	69.8
2 0 8	38.40	50.4
3 1 4	38.79	41.2
2 1 9	43.33	41.2
4 1 1	46.89	38.0
4 2 0	50.95	38.8
4 4 0	65.93	29.7

# 4
Structure and theoretical powder diffractogram of KMg15 (a DFT-relaxed cell (GGA-PBE, the Materials Project); a wavelength of 1.5418 Å).

Unit cell a=6.5893 b=6.5893 c=10.4875 alpha=90.00 beta=90.00 gamma=120.00
Space group P-6m2 (No. 187)
Inequivalent atoms, fractional coordinates:
1 K 0.0000 0.0000 0.0000 (multiplicity 1)
2 Mg 0.0000 0.0000 0.5000 (multiplicity 1)
3 Mg 0.0029 0.5015 0.5000 (multiplicity 3)
4 Mg 0.3333 0.6667 0.2474 (multiplicity 2)
5 Mg 0.3431 0.1715 0.2632 (multiplicity 6)
6 Mg 0.5033 0.0067 0.0000 (multiplicity 3)

Top 10 peaks for 5° ≤ 2θ ≤ 70°, sorted by position:
(hkl)	2θ/deg	I/Imax
1 0 2	23.03	1.1
2 0 0	31.35	24.5
0 0 4	34.20	24.7
2 0 2	35.83	100.0
2 0 4	47.07	14.5
2 2 0	55.81	17.4
2 0 6	62.29	17.2
4 0 0	65.42	2.6
2 2 4	67.10	18.5
4 0 2	68.11	13.6